1.
Simulated powder diffractogram
Compound: CrNiPdPt
Radiation: Cu Kα, 1.54184 Å
Structure: a cell relaxed with PBE

```
data_CrNiPdPt
_chemical_formula_sum 'Cr4 Ni4 Pd4 Pt4'
_symmetry_space_group_name_H-M 'F -4 3 m'
_symmetry_Int_Tables_number 216
_symmetry_space_group_name_Hall 'F -4 2 3'
_cell_length_a 6.0748
_cell_length_b 6.0748
_cell_length_c 6.0748
_cell_angle_alpha 90.00
_cell_angle_beta 90.00
_cell_angle_gamma 90.00
loop_
_atom_site_label
_atom_site_type_symbol
_atom_site_fract_x
_atom_site_fract_y
_atom_site_fract_z
Cr1 Cr 0.0000 0.0000 0.0000
Ni1 Ni 0.0000 0.0000 0.5000
Pd1 Pd 0.2500 0.2500 0.7500
Pt1 Pt 0.2500 0.2500 0.2500
```

Top 10 peaks for 2θ from 15° to 90°, in order of rising 2θ:
index, two_theta, Rel. int.
1 1 1, 25.4, 9.7
2 0 0, 29.4, 24.2
2 2 0, 42.1, 100.0
3 1 1, 49.8, 5.3
2 2 2, 52.2, 7.1
4 0 0, 61.0, 16.2
3 3 1, 67.2, 2.3
4 2 0, 69.2, 9.6
4 2 2, 76.9, 32.5
5 1 1, 82.5, 1.8

2.
Simulated powder diffractogram
Compound: CoRe2Tc
Radiation: Cu Kα, 1.54184 Å
Structure: a cell relaxed with PBE

```
data_CoRe2Tc
_chemical_formula_sum 'Co2 Re4 Tc2'
_symmetry_space_group_name_H-M 'C 1 2/m 1'
_symmetry_Int_Tables_number 12
_cell_length_a 8.8732
_cell_length_b 2.7182
_cell_length_c 4.6822
_cell_angle_alpha 90.00
_cell_angle_beta 100.05
_cell_angle_gamma 90.00
loop_
_symmetry_equiv_pos_as_xyz
'x,y,z'
'-x,-y,-z'
'-x,y,-z'
'x,-y,z'
'x+1/2,y+1/2,z'
'-x+1/2,-y+1/2,-z'
'-x+1/2,y+1/2,-z'
'x+1/2,-y+1/2,z'
loop_
_atom_site_label
_atom_site_type_symbol
_atom_site_fract_x
_atom_site_fract_y
_atom_site_fract_z
Co1 Co 0.0000 0.0000 0.0000
Re1 Re 0.2456 0.5000 0.2415
Tc1 Tc 0.0000 0.5000 0.5000
```

Top 12 peaks for 2θ from 15° to 90°, in order of rising 2θ:
index, two_theta, Rel. int.
2 0 0, 20.3, 41.9
1 1 -1, 38.9, 17.1
1 1 1, 40.8, 100.0
2 0 -2, 41.0, 49.5
4 0 0, 41.3, 47.9
3 1 -1, 47.7, 95.5
1 1 -3, 69.4, 20.4
5 1 1, 70.0, 19.6
2 2 -2, 83.6, 12.5
4 2 0, 83.8, 12.4
5 1 -3, 84.2, 12.4
7 1 -1, 84.7, 18.0

3.
Simulated powder diffractogram
Compound: BC3
Radiation: Cu Kα, 1.54184 Å
Structure: a cell relaxed with PBE

```
data_BC3
_chemical_formula_sum 'B6 C18'
_symmetry_space_group_name_H-M 'C 1 m 1'
_symmetry_Int_Tables_number 8
_cell_length_a 11.5407
_cell_length_b 2.5251
_cell_length_c 5.2458
_cell_angle_alpha 90.00
_cell_angle_beta 104.22
_cell_angle_gamma 90.00
loop_
_symmetry_equiv_pos_as_xyz
'x,y,z'
'x,-y,z'
'x+1/2,y+1/2,z'
'x+1/2,-y+1/2,z'
loop_
_atom_site_label
_atom_site_type_symbol
_atom_site_fract_x
_atom_site_fract_y
_atom_site_fract_z
B1 B 0.0000 0.0000 0.0000
B2 B 0.1112 0.5000 0.0460
B3 B 0.2594 0.0000 0.3692
C1 C 0.0096 0.0000 0.5024
C2 C 0.0935 0.5000 0.5451
C3 C 0.1714 0.5000 0.3508
C4 C 0.1852 0.5000 0.8270
C5 C 0.2656 0.0000 0.8680
C6 C 0.3455 0.0000 0.1663
C7 C 0.3508 0.0000 0.6771
C8 C 0.4244 0.5000 0.2155
C9 C 0.4252 0.5000 0.6956
```

Top 12 peaks for 2θ from 15° to 90°, in order of rising 2θ:
index, two_theta, Rel. int.
0 0 1, 17.4, 4.4
2 0 -1, 20.5, 7.5
4 0 -2, 41.7, 47.7
2 0 2, 42.5, 54.3
3 1 0, 43.3, 100.0
2 0 -4, 72.0, 39.2
5 1 2, 73.2, 25.8
0 2 0, 75.3, 12.5
10 0 -2, 85.9, 4.5
5 1 -4, 87.4, 16.7
1 1 4, 88.4, 7.1
4 2 -2, 90.0, 6.9

4.
Simulated powder diffractogram
Compound: Tb2Hg3Rh2
Radiation: Cu Kα, 1.54184 Å
Structure: a cell relaxed with PBE

```
data_Tb2Hg3Rh2
_chemical_formula_sum 'Tb4 Hg6 Rh4'
_symmetry_space_group_name_H-M 'C m m m'
_symmetry_Int_Tables_number 65
_symmetry_space_group_name_Hall '-C 2 2'
_cell_length_a 4.0565
_cell_length_b 20.7043
_cell_length_c 3.7906
_cell_angle_alpha 90.00
_cell_angle_beta 90.00
_cell_angle_gamma 90.00
loop_
_atom_site_label
_atom_site_type_symbol
_atom_site_fract_x
_atom_site_fract_y
_atom_site_fract_z
Tb1 Tb 0.0000 0.1734 0.0000
Hg1 Hg 0.0000 0.0000 0.0000
Hg2 Hg 0.0000 0.4264 0.5000
Rh1 Rh 0.0000 0.2947 0.5000
```

Top 12 peaks for 2θ from 15° to 90°, in order of rising 2θ:
index, two_theta, Rel. int.
1 5 0, 30.9, 22.1
1 1 1, 32.6, 100.0
0 8 0, 34.7, 9.5
0 6 1, 35.2, 51.5
1 7 0, 37.6, 43.9
1 5 1, 39.1, 12.7
2 0 0, 44.7, 23.0
0 0 2, 48.0, 18.7
2 6 1, 58.1, 32.4
1 11 1, 59.4, 11.3
1 7 2, 62.5, 20.1
2 0 2, 67.7, 13.5

5.
Simulated powder diffractogram
Compound: Ho4TlTe3
Radiation: Cu Kα, 1.54184 Å
Structure: a cell relaxed with PBE

```
data_Ho4TlTe3
_chemical_formula_sum 'Ho8 Tl2 Te6'
_symmetry_space_group_name_H-M 'C m m m'
_symmetry_Int_Tables_number 65
_symmetry_space_group_name_Hall '-C 2 2'
_cell_length_a 8.7836
_cell_length_b 12.3433
_cell_length_c 4.3334
_cell_angle_alpha 90.00
_cell_angle_beta 90.00
_cell_angle_gamma 90.00
loop_
_atom_site_label
_atom_site_type_symbol
_atom_site_fract_x
_atom_site_fract_y
_atom_site_fract_z
Ho1 Ho 0.0000 0.2424 0.0000
Ho2 Ho 0.2397 0.0000 0.5000
Tl1 Tl 0.0000 0.0000 0.0000
Te1 Te 0.0000 0.5000 0.0000
Te2 Te 0.2500 0.2500 0.5000
```

Top 12 peaks for 2θ from 15° to 90°, in order of rising 2θ:
index, two_theta, Rel. int.
2 0 1, 28.9, 100.0
4 0 0, 41.1, 12.8
2 4 1, 41.4, 50.5
0 0 2, 41.7, 12.6
4 4 0, 51.0, 13.6
0 4 2, 51.5, 13.5
4 0 2, 60.0, 12.6
6 0 1, 67.5, 5.8
4 4 2, 67.9, 22.9
2 0 3, 68.4, 5.8
6 4 1, 75.1, 8.5
2 4 3, 75.9, 8.5

6.
Simulated powder diffractogram
Compound: Tb15DyHo4
Radiation: Cu Kα, 1.54184 Å
Structure: a cell relaxed with PBE

```
data_Tb15DyHo4
_chemical_formula_sum 'Tb15 Dy1 Ho4'
_symmetry_space_group_name_H-M 'P 4/m m m'
_symmetry_Int_Tables_number 123
_symmetry_space_group_name_Hall '-P 4 2'
_cell_length_a 5.0154
_cell_length_b 5.0154
_cell_length_c 25.0677
_cell_angle_alpha 90.00
_cell_angle_beta 90.00
_cell_angle_gamma 90.00
loop_
_atom_site_label
_atom_site_type_symbol
_atom_site_fract_x
_atom_site_fract_y
_atom_site_fract_z
Tb1 Tb 0.0000 0.0000 0.0000
Tb2 Tb 0.0000 0.0000 0.2002
Tb3 Tb 0.0000 0.0000 0.4000
Tb4 Tb 0.0000 0.5000 0.1002
Tb5 Tb 0.0000 0.5000 0.3001
Tb6 Tb 0.0000 0.5000 0.5000
Dy1 Dy 0.5000 0.5000 0.0000
Ho1 Ho 0.5000 0.5000 0.2002
Ho2 Ho 0.5000 0.5000 0.4000
```

Top 8 peaks for 2θ from 15° to 90°, in order of rising 2θ:
index, two_theta, Rel. int.
1 1 5, 30.9, 100.0
2 0 0, 35.8, 50.6
2 2 0, 51.5, 36.0
3 1 5, 61.3, 42.8
2 2 10, 64.4, 12.3
4 0 0, 75.9, 5.7
3 3 5, 84.1, 17.8
4 2 0, 86.9, 16.7

7.
Simulated powder diffractogram
Compound: CeCoCuH6
Radiation: Cu Kα, 1.54184 Å
Structure: a cell relaxed with PBE

```
data_CeCoCuH6
_chemical_formula_sum 'Ce1 Co1 Cu1 H6'
_symmetry_space_group_name_H-M 'P -6 m 2'
_symmetry_Int_Tables_number 187
_symmetry_space_group_name_Hall 'P -6 2'
_cell_length_a 4.4374
_cell_length_b 4.4374
_cell_length_c 4.2726
_cell_angle_alpha 90.00
_cell_angle_beta 90.00
_cell_angle_gamma 120.00
loop_
_atom_site_label
_atom_site_type_symbol
_atom_site_fract_x
_atom_site_fract_y
_atom_site_fract_z
Ce1 Ce 0.0000 0.0000 0.0000
Co1 Co 0.6667 0.3333 0.5000
Cu1 Cu 0.3333 0.6667 0.5000
H1 H 0.5108 0.0216 0.2491
```

Top 12 peaks for 2θ from 15° to 90°, in order of rising 2θ:
index, two_theta, Rel. int.
1 0 0, 23.1, 12.2
1 0 1, 31.3, 100.0
1 1 0, 40.7, 41.6
0 0 2, 42.3, 11.9
2 0 1, 52.2, 23.2
1 1 2, 60.1, 25.9
2 1 1, 68.2, 20.2
1 0 3, 70.5, 9.1
3 0 0, 74.0, 6.7
2 0 3, 84.7, 5.6
2 2 0, 88.0, 4.4
3 0 2, 89.1, 8.5